[1]
# Li4Mn3P3O12F
Calculated PXRD pattern, Cu Kα X-rays. Input: DFT lattice parameters and positions (PBE+U).

Largest 10 diffraction maxima, sorted by position, 2θ = 5–70°:
two_theta	d/Å	I (rel.)
14.73	6.014	100
20.89	4.252	29
25.66	3.472	74
29.71	3.007	9
36.60	2.455	55
38.15	2.359	10
39.65	2.273	42
49.09	1.856	13
59.54	1.553	9
61.70	1.503	33

Atomic structure:
Unit cell a=8.5048 b=8.5048 c=8.5048 alpha=90.00 beta=90.00 gamma=90.00
Space group P-43n (No. 218)
One atom of each set of equivalent atoms:
Li 0.1424 0.1424 0.1424
Mn 0.0000 0.2500 0.5000
P 0.0000 0.5000 0.2500
O 0.0968 0.3821 0.1487
F 0.0000 0.0000 0.0000



[2]
# MnI2O4
Calculated PXRD pattern, Cu Kα X-rays. Input: DFT lattice parameters and positions (PBE+U).

Largest 10 diffraction maxima, sorted by position, 2θ = 5–70°:
two_theta	d/Å	I (rel.)
18.24	4.864	44
19.38	4.579	55
22.96	3.873	39
24.35	3.655	38
27.09	3.292	40
28.98	3.081	100
34.51	2.599	30
36.43	2.466	27
40.93	2.205	25
46.99	1.934	20

Atomic structure:
Unit cell a=5.9442 b=7.2156 c=8.5259 alpha=90.00 beta=129.44 gamma=90.00
Space group P2_1/c (No. 14)
One atom of each set of equivalent atoms:
Mn 0.0000 0.0000 0.0000
I 0.3099 0.1147 0.5152
O 0.0363 0.1167 0.2118
O 0.3610 0.6223 0.6867



[3]
# Nd2NiRuO6
Calculated PXRD pattern, Cu Kα X-rays. Input: DFT lattice parameters and positions (PBE+U).

Largest 10 diffraction maxima, sorted by position, 2θ = 5–70°:
two_theta	d/Å	I (rel.)
25.18	3.536	16
30.98	2.887	20
32.12	2.786	100
32.88	2.724	25
33.07	2.709	11
45.80	1.981	19
46.33	1.960	14
47.33	1.921	10
58.13	1.587	16
58.33	1.582	13

Atomic structure:
Unit cell a=5.4479 b=5.7732 c=9.5272 alpha=90.00 beta=124.64 gamma=90.00
Space group P2_1/c (No. 14)
One atom of each set of equivalent atoms:
Nd 0.2326 0.0672 0.2500
Ni 0.5000 0.0000 0.0000
Ru 0.0000 0.0000 0.5000
O 0.1378 0.2051 0.9450
O 0.2512 0.6942 0.9514
O 0.3483 0.0307 0.7483



[4]
# Ho2Mo4O15
Calculated PXRD pattern, Cu Kα X-rays. Input: DFT lattice parameters and positions (PBE+U).

Largest 10 diffraction maxima, sorted by position, 2θ = 5–70°:
two_theta	d/Å	I (rel.)
19.77	4.490	59
20.87	4.256	35
24.22	3.675	28
25.12	3.544	100
26.31	3.387	45
27.40	3.254	36
27.76	3.214	33
30.74	2.908	22
33.62	2.666	32
44.70	2.027	21

Atomic structure:
Unit cell a=6.9236 b=9.6876 c=10.7608 alpha=90.00 beta=104.87 gamma=90.00
Space group P2_1/c (No. 14)
One atom of each set of equivalent atoms:
Ho 0.2071 0.0232 0.2747
Mo 0.0793 0.7427 0.0096
Mo 0.3823 0.0945 0.8436
O 0.0295 0.1265 0.3993
O 0.1157 0.1655 0.1014
O 0.1253 0.0516 0.8139
O 0.2188 0.6495 0.9180
O 0.2403 0.6363 0.6175
O 0.3849 0.2226 0.3492
O 0.4570 0.0271 0.7094
O 0.5000 0.0000 0.0000



[5]
# Li3Mn4B4O12
Calculated PXRD pattern, Cu Kα X-rays. Input: DFT lattice parameters and positions (PBE+U).

Largest 10 diffraction maxima, sorted by position, 2θ = 5–70°:
two_theta	d/Å	I (rel.)
20.19	4.398	97
20.71	4.289	27
21.97	4.046	53
22.73	3.911	78
33.97	2.639	32
34.02	2.636	38
34.21	2.621	100
39.75	2.268	27
40.68	2.218	39
51.10	1.788	28

Atomic structure:
Unit cell a=5.8937 b=9.0738 c=9.8439 alpha=81.82 beta=80.15 gamma=77.23
Space group P-1 (No. 2)
One atom of each set of equivalent atoms:
Li 0.0754 0.2182 0.0851
Li 0.1444 0.2806 0.6702
Li 0.3977 0.7837 0.4134
Mn 0.1043 0.9387 0.6443
Mn 0.1636 0.5564 0.0953
Mn 0.3584 0.4489 0.3885
Mn 0.4000 0.0345 0.8546
B 0.0992 0.6150 0.6518
B 0.1419 0.8895 0.1050
B 0.3585 0.1144 0.4111
B 0.3871 0.3751 0.8512
O 0.0162 0.5076 0.3118
O 0.0304 0.1054 0.7793
O 0.0297 0.7366 0.7278
O 0.1853 0.7748 0.0219
O 0.1954 0.3919 0.9594
O 0.2190 0.0023 0.4331
O 0.2629 0.0099 0.0682
O 0.2836 0.6102 0.5402
O 0.3109 0.2330 0.4899
O 0.4274 0.2589 0.7688
O 0.4419 0.9107 0.6869
O 0.4727 0.5162 0.1762



[6]
# CaEuMnWO6
Calculated PXRD pattern, Cu Kα X-rays. Input: DFT lattice parameters and positions (PBE+U).

Largest 10 diffraction maxima, sorted by position, 2θ = 5–70°:
two_theta	d/Å	I (rel.)
18.95	4.683	40
21.92	4.056	5
31.19	2.868	100
36.75	2.446	22
44.69	2.028	32
48.95	1.861	10
55.50	1.656	39
59.19	1.561	8
65.05	1.434	19
68.43	1.371	8

Atomic structure:
Unit cell a=8.1114 b=8.1114 c=8.1114 alpha=90.00 beta=90.00 gamma=90.00
Space group F-43m (No. 216)
One atom of each set of equivalent atoms:
Ca 0.0000 0.0000 0.0000
Eu 0.0000 0.0000 0.5000
Mn 0.2500 0.2500 0.2500
W 0.2500 0.2500 0.7500
O 0.0104 0.2500 0.7500



[7]
# Ba2Ti4Fe2O13
Calculated PXRD pattern, Cu Kα X-rays. Input: DFT lattice parameters and positions (PBE+U).

Largest 10 diffraction maxima, sorted by position, 2θ = 5–70°:
two_theta	d/Å	I (rel.)
19.41	4.574	72
24.04	3.703	44
28.79	3.100	87
29.53	3.025	100
29.96	2.982	61
31.15	2.871	61
31.33	2.855	74
42.94	2.106	58
43.57	2.077	74
46.18	1.966	65

Atomic structure:
Unit cell a=15.3124 b=3.9311 c=9.2582 alpha=90.00 beta=98.86 gamma=90.00
Space group C2/m (No. 12)
One atom of each set of equivalent atoms:
Ba 0.0503 0.0000 0.2686
Ti 0.1223 0.5000 0.5862
Ti 0.1663 0.5000 0.9363
Fe 0.2416 0.5000 0.2630
O 0.0000 0.5000 0.5000
O 0.0690 0.5000 0.7996
O 0.1278 0.5000 0.1141
O 0.1315 0.0000 0.6116
O 0.1654 0.5000 0.4139
O 0.1996 0.0000 0.9308
O 0.2347 0.5000 0.7414



[8]
# LiFe4B4O12
Calculated PXRD pattern, Cu Kα X-rays. Input: DFT lattice parameters and positions (PBE+U).

Largest 10 diffraction maxima, sorted by position, 2θ = 5–70°:
two_theta	d/Å	I (rel.)
19.44	4.566	49
19.71	4.504	89
21.38	4.156	100
21.59	4.116	61
26.19	3.402	81
26.33	3.385	59
33.84	2.649	29
34.33	2.612	67
35.39	2.536	94
49.23	1.851	40

Atomic structure:
Unit cell a=5.2321 b=9.1221 c=10.1442 alpha=89.79 beta=89.69 gamma=88.99
Space group P1 (No. 1)
One atom of each set of equivalent atoms:
Li 0.0000 0.0000 0.0000
Li 0.4677 0.5078 0.4998
Fe 0.1417 0.8319 0.7256
Fe 0.1463 0.4997 0.2242
Fe 0.4851 0.1621 0.4761
Fe 0.5024 0.8112 0.9746
Fe 0.6389 0.9896 0.2258
Fe 0.6512 0.3231 0.7269
Fe 0.9612 0.6821 0.4740
Fe 0.9848 0.3454 0.9758
B 0.1441 0.4990 0.7213
B 0.1500 0.8281 0.2173
B 0.4574 0.8311 0.4769
B 0.4857 0.1635 0.9777
B 0.6437 0.9987 0.7285
B 0.6531 0.3306 0.2286
B 0.9872 0.3348 0.4741
B 0.9879 0.6591 0.9738
O 0.0366 0.6316 0.6868
O 0.0584 0.6984 0.2685
O 0.0842 0.4662 0.4255
O 0.1165 0.7861 0.9335
O 0.1360 0.2127 0.4826
O 0.1388 0.5349 0.0195
O 0.2123 0.8440 0.5288
O 0.2249 0.1805 0.9836
O 0.3949 0.4660 0.6937
O 0.4065 0.8366 0.1840
O 0.4806 0.8926 0.7734
O 0.4933 0.4475 0.2344
O 0.5365 0.1289 0.6726
O 0.5692 0.9601 0.4245
O 0.5822 0.1949 0.2815
O 0.5881 0.7019 0.4744
O 0.6141 0.0399 0.0259
O 0.6388 0.2732 0.9206
O 0.7267 0.3347 0.5175
O 0.7349 0.6456 0.9721
O 0.8994 0.3430 0.1730
O 0.9003 0.9869 0.7409
O 0.9891 0.3912 0.7793
O 0.9893 0.9459 0.1962



[9]
# MgW2O4
Calculated PXRD pattern, Cu Kα X-rays. Input: DFT lattice parameters and positions (PBE+U).

Largest 10 diffraction maxima, sorted by position, 2θ = 5–70°:
two_theta	d/Å	I (rel.)
16.96	5.228	100
32.80	2.730	86
34.30	2.614	56
39.82	2.264	52
43.56	2.078	25
52.51	1.743	32
57.58	1.601	43
60.48	1.531	21
67.87	1.381	11
68.76	1.365	26

Atomic structure:
Unit cell a=9.0558 b=9.0558 c=9.0558 alpha=90.00 beta=90.00 gamma=90.00
Space group Fd-3m (No. 227, origin choice 2)
One atom of each set of equivalent atoms:
Mg 0.1250 0.1250 0.1250
W 0.0000 0.0000 0.5000
O 0.0067 0.0067 0.7433